# 1
Diffraction record for CoP2H18N6F12. The powder XRD pattern is computed, not measured: it uses a crystal structure in the Materials Project, relaxed with GGA+U and Cu Kα X-rays.
Lines closer than 0.1° are merged.

Principal peaks in the range 10 to 90 degrees two-theta, in order of rising 2θ:
(0 1 -1), 2θ 12.90, intensity 100
(0 0 1), 2θ 14.54, intensity 17
(1 -1 0), 2θ 14.94, intensity 19
(1 -1 1), 2θ 20.91, intensity 40
(1 1 0), 2θ 21.06, intensity 19
(1 1 -2), 2θ 21.19, intensity 20
(2 0 -1), 2θ 21.40, intensity 31
(0 0 2), 2θ 29.33, intensity 18
(2 -2 0), 2θ 30.13, intensity 21
(2 2 -2), 2θ 30.76, intensity 19

Structure:
```
data_CoP2H18N6F12
_space_group_name_H-M_alt 'P 1'
_space_group_IT_number 1
_space_group_name_Hall 'P 1'
_cell_length_a 8.3036
_cell_length_b 8.3081
_cell_length_c 8.3937
_cell_angle_alpha 118.78
_cell_angle_beta 118.81
_cell_angle_gamma 91.15
loop_
_atom_site_label
_atom_site_fract_x
_atom_site_fract_y
_atom_site_fract_z
Co1 0.0000 0.0000 0.0000
P1 0.2439 0.7498 0.5020
P2 0.7437 0.2509 0.5026
H1 0.1092 0.1166 0.8033
H2 0.1158 0.2797 0.3981
H3 0.1619 0.6745 0.9750
H4 0.1657 0.3125 0.0321
H5 0.2401 0.1284 0.4082
H6 0.2875 0.2817 0.3547
H7 0.3002 0.8195 0.9757
H8 0.3065 0.1755 0.0329
H9 0.3200 0.8815 0.2022
H10 0.6845 0.1182 0.9945
H11 0.6848 0.7562 0.8793
H12 0.7218 0.7130 0.6034
H13 0.7270 0.1787 0.8560
H14 0.8199 0.8878 0.1482
H15 0.8352 0.8685 0.5924
H16 0.8630 0.3147 0.1257
H17 0.8741 0.7050 0.0109
H18 0.9410 0.7247 0.6571
N1 0.1643 0.1716 0.9645
N2 0.1767 0.1917 0.3253
N3 0.2211 0.8168 0.0375
N4 0.7928 0.1737 0.9917
N5 0.8260 0.8178 0.0131
N6 0.8539 0.8072 0.6777
F1 0.0948 0.8760 0.4953
F2 0.1105 0.6007 0.5004
F3 0.1139 0.6121 0.2320
F4 0.3738 0.8845 0.7723
F5 0.3770 0.8990 0.5047
F6 0.3934 0.6231 0.5086
F7 0.6002 0.1210 0.5099
F8 0.6028 0.1175 0.2326
F9 0.6150 0.3982 0.5078
F10 0.8702 0.1009 0.4947
F11 0.8841 0.3844 0.7723
F12 0.8883 0.3804 0.4970
```

=====

# 2
Diffraction record for Na2V2CoH4O6F6. The powder XRD pattern is computed, not measured: it uses a crystal structure in the Materials Project, relaxed with GGA+U and Cu Kα X-rays.
Lines closer than 0.1° are merged.

Principal peaks in the range 10 to 90 degrees two-theta, in order of rising 2θ:
(0 0 2), 2θ 16.72, intensity 100
(1 1 -1), 2θ 21.24, intensity 45
(1 1 1), 2θ 21.53, intensity 27
(2 1 -1), 2θ 28.05, intensity 94
(2 1 1), 2θ 28.50, intensity 51
(0 2 0), 2θ 33.48, intensity 18
(0 0 4), 2θ 33.81, intensity 23
(3 2 0), 2θ 46.96, intensity 36
(0 0 6), 2θ 51.72, intensity 18
(2 1 5), 2θ 51.85, intensity 21

Structure:
```
data_Na2V2CoH4O6F6
_space_group_name_H-M_alt 'P 1 21/c 1'
_space_group_IT_number 14
_space_group_name_Hall '-P 2ybc'
_cell_length_a 8.4131
_cell_length_b 5.3524
_cell_length_c 10.6107
_cell_angle_alpha 90.00
_cell_angle_beta 92.00
_cell_angle_gamma 90.00
loop_
_atom_site_label
_atom_site_fract_x
_atom_site_fract_y
_atom_site_fract_z
Na1 0.0331 0.0530 0.1641
V1 0.2101 0.5254 0.0064
Co1 0.5000 0.0000 0.0000
H1 0.3432 0.5325 0.2771
H2 0.4948 0.7000 0.2691
O1 0.3052 0.7054 0.5425
O2 0.3512 0.1885 0.4862
O3 0.4570 0.5392 0.3027
F1 0.0187 0.2234 0.4700
F2 0.1635 0.6153 0.8364
F3 0.1713 0.0679 0.6794
```

=====

# 3
Diffraction record for CoSiH12O6F6. The powder XRD pattern is computed, not measured: it uses a crystal structure in the Materials Project, relaxed with GGA+U and Cu Kα X-rays.
Lines closer than 0.1° are merged.

Principal peaks in the range 10 to 90 degrees two-theta, in order of rising 2θ:
(1 1 0), 2θ 18.58, intensity 100
(0 1 2), 2θ 21.15, intensity 58
(3 -1 1), 2θ 30.02, intensity 20
(3 -2 2), 2θ 34.07, intensity 41
(0 2 4), 2θ 43.05, intensity 13
(4 0 1), 2θ 44.81, intensity 11
(2 1 4), 2θ 47.27, intensity 21
(0 4 2), 2θ 47.78, intensity 11
(5 -3 2), 2θ 51.70, intensity 8
(1 3 4), 2θ 54.97, intensity 17

Structure:
```
data_CoSiH12O6F6
_space_group_name_H-M_alt 'R -3'
_space_group_IT_number 148
_space_group_name_Hall '-R 3'
_cell_length_a 9.5496
_cell_length_b 9.5496
_cell_length_c 9.7505
_cell_angle_alpha 90.00
_cell_angle_beta 90.00
_cell_angle_gamma 120.00
loop_
_atom_site_label
_atom_site_fract_x
_atom_site_fract_y
_atom_site_fract_z
Co1 0.0000 0.0000 0.0000
Si1 0.0000 0.0000 0.5000
H1 0.0182 0.8372 0.7790
H2 0.0379 0.4645 0.7774
O1 0.0055 0.1830 0.1227
F1 0.0684 0.8995 0.6020
```